Structure and computed XRD peak list of RbCd8Au2 (DFT lattice parameters and positions (GGA-PBE); Cu Kα (λ = 1.5418 Å)).
Neutral-atom scattering factors, no anomalous dispersion.

Peak list (12 most intense, 2θ = 10–90°, in order of rising 2θ)
(1 1 1), 2θ = 22.45°, intensity 51.8; (1 1 3), 2θ = 33.48°, intensity 19.2; (2 0 2), 2θ = 34.32°, intensity 100.0; (2 0 3), 2θ = 39.69°, intensity 68.7; (2 2 0), 2θ = 42.10°, intensity 42.7; (2 2 1), 2θ = 43.06°, intensity 17.8; (3 1 1), 2θ = 48.23°, intensity 13.9; (4 0 0), 2θ = 61.06°, intensity 13.8; (2 2 5), 2θ = 62.60°, intensity 17.7; (4 2 2), 2θ = 71.95°, intensity 22.4; (4 2 3), 2θ = 75.32°, intensity 20.1; (2 0 8), 2θ = 81.39°, intensity 15.4

Atomic structure:
```
RbCd8Au2
1.0
6.071 0.000 0.000
0.000 6.071 0.000
0.000 0.000 10.270
Rb Cd Au
1 8 2
Direct
0.000 0.000 0.000 Rb
0.251 0.251 0.312 Cd
0.251 0.251 0.688 Cd
0.251 0.749 0.312 Cd
0.251 0.749 0.688 Cd
0.749 0.251 0.312 Cd
0.749 0.251 0.688 Cd
0.749 0.749 0.312 Cd
0.749 0.749 0.688 Cd
0.000 0.500 0.500 Au
0.500 0.000 0.500 Au
```